Theoretical X-ray powder pattern of K2Se4S5 for Cu Kα (weighted mean of Kα1 and Kα2), from a PBE-relaxed structure.

Largest 10 diffraction maxima, low angle first, 10 to 90 degrees two-theta:
2θ/deg, d (Å), I_rel
15.93, 5.563, 53.1
17.61, 5.036, 30.9
17.73, 5.002, 100.0
19.46, 4.562, 25.9
28.41, 3.141, 81.4
29.56, 3.022, 71.1
32.39, 2.764, 42.7
33.06, 2.709, 29.2
35.91, 2.501, 28.9
38.32, 2.349, 25.7

Atomic structure:
```
data_K2Se4S5
_space_group_name_H-M_alt 'P 1'
_space_group_IT_number 1
_space_group_name_Hall 'P 1'
_cell_length_a 6.004
_cell_length_b 6.004
_cell_length_c 11.140
_cell_angle_alpha 91.60
_cell_angle_beta 91.60
_cell_angle_gamma 112.83
loop_
_atom_site_label
_atom_site_type_symbol
_atom_site_fract_x
_atom_site_fract_y
_atom_site_fract_z
K1 K 0.246 0.246 0.248
K2 K 0.754 0.754 0.752
Se1 Se 0.153 0.153 0.560
Se2 Se 0.234 0.234 0.917
Se3 Se 0.766 0.766 0.083
Se4 Se 0.847 0.847 0.440
S1 S 0.248 0.629 0.915
S2 S 0.371 0.752 0.085
S3 S 0.500 0.500 0.500
S4 S 0.629 0.248 0.915
S5 S 0.752 0.371 0.085
```